1.
Calculated powder XRD pattern
Compound: V6Ga5
Radiation: a wavelength of 1.5418 Å
Structure: DFT lattice parameters and positions (GGA-PBE)
Lines closer than 0.1° are merged.

Structure:
a = 8.4867 Å, b = 8.4867 Å, c = 5.1245 Å
α = 90.00°, β = 90.00°, γ = 120.00°
Space group P6_3/mmc (No. 194)
Unique sites:
V (0.0000, 0.5000, 0.0000) x6
V (0.1568, 0.3136, 0.2500) x6
Ga (0.0000, 0.0000, 0.0000) x2
Ga (0.2038, 0.4075, 0.7500) x6
Ga (0.3333, 0.6667, 0.2500) x2

Main lines, sorted by position (10 to 90 degrees two-theta):
two_theta, d/Å, Rel. int., index
29.92, 2.986, 10, 2 0 1
32.22, 2.778, 16, 2 1 0
35.02, 2.562, 8, 0 0 2
36.80, 2.442, 27, 2 1 1
40.83, 2.210, 27, 3 0 1
42.61, 2.122, 82, 2 2 0
43.04, 2.102, 100, 2 0 2
48.04, 1.894, 10, 3 1 1
62.17, 1.493, 17, 4 0 2
74.18, 1.278, 9, 5 1 1
78.30, 1.221, 22, 4 2 2
89.33, 1.097, 17, 2 2 4

---

2.
Calculated powder XRD pattern
Compound: Ba3SrI8
Radiation: a wavelength of 1.5418 Å
Structure: DFT lattice parameters and positions (GGA-PBE)
Lines closer than 0.1° are merged.

Structure:
a = 8.3062 Å, b = 8.3062 Å, c = 16.5996 Å
α = 90.00°, β = 90.00°, γ = 90.00°
Space group I4/mmm (No. 139)
Unique sites:
Ba (0.0000, 0.0000, 0.0000) x2
Ba (0.0000, 0.5000, 0.2500) x4
Sr (0.0000, 0.0000, 0.5000) x2
I (0.2453, 0.2453, 0.3773) x16

Main lines, sorted by position (10 to 90 degrees two-theta):
two_theta, d/Å, Rel. int., index
18.51, 4.794, 24, 1 1 2
21.40, 4.152, 15, 2 0 0
30.45, 2.936, 100, 2 2 0
35.87, 2.504, 14, 3 1 2
43.60, 2.076, 18, 4 0 0
47.74, 1.905, 6, 3 3 2
49.06, 1.857, 6, 4 0 4
54.10, 1.695, 38, 4 2 4
57.68, 1.598, 5, 5 1 2
63.36, 1.468, 12, 4 4 0
71.91, 1.313, 16, 6 2 0
88.01, 1.110, 20, 6 4 4

---

3.
Calculated powder XRD pattern
Compound: Er3Cu4Sn4
Radiation: a wavelength of 1.5418 Å
Structure: DFT lattice parameters and positions (GGA-PBE)
Lines closer than 0.1° are merged.

Structure:
a = 4.4609 Å, b = 6.9338 Å, c = 14.6269 Å
α = 90.00°, β = 90.00°, γ = 90.00°
Space group Immm (No. 71)
Unique sites:
Er (0.0000, 0.0000, 0.0000) x2
Er (0.0000, 0.5000, 0.1311) x4
Cu (0.0000, 0.3111, 0.3280) x8
Sn (0.0000, 0.0000, 0.2157) x4
Sn (0.0000, 0.2035, 0.5000) x4

Main lines, sorted by position (10 to 90 degrees two-theta):
two_theta, d/Å, Rel. int., index
33.29, 2.692, 100, 1 2 1
34.24, 2.619, 76, 1 1 4
36.87, 2.438, 13, 0 0 6
40.44, 2.230, 33, 2 0 0
43.32, 2.088, 18, 0 3 3
45.36, 1.999, 22, 1 2 5
50.31, 1.814, 8, 0 3 5
53.31, 1.718, 12, 2 1 5
60.75, 1.524, 13, 2 3 3
69.02, 1.361, 10, 3 2 1
69.59, 1.351, 10, 3 1 4
76.51, 1.245, 13, 1 5 4

---

Please write out number 2 again, unchanged.
Calculated powder XRD pattern
Compound: Ba3SrI8
Radiation: a wavelength of 1.5418 Å
Structure: DFT lattice parameters and positions (GGA-PBE)
Lines closer than 0.1° are merged.

Structure:
a = 8.3062 Å, b = 8.3062 Å, c = 16.5996 Å
α = 90.00°, β = 90.00°, γ = 90.00°
Space group I4/mmm (No. 139)
Unique sites:
Ba (0.0000, 0.0000, 0.0000) x2
Ba (0.0000, 0.5000, 0.2500) x4
Sr (0.0000, 0.0000, 0.5000) x2
I (0.2453, 0.2453, 0.3773) x16

Main lines, sorted by position (10 to 90 degrees two-theta):
two_theta, d/Å, Rel. int., index
18.51, 4.794, 24, 1 1 2
21.40, 4.152, 15, 2 0 0
30.45, 2.936, 100, 2 2 0
35.87, 2.504, 14, 3 1 2
43.60, 2.076, 18, 4 0 0
47.74, 1.905, 6, 3 3 2
49.06, 1.857, 6, 4 0 4
54.10, 1.695, 38, 4 2 4
57.68, 1.598, 5, 5 1 2
63.36, 1.468, 12, 4 4 0
71.91, 1.313, 16, 6 2 0
88.01, 1.110, 20, 6 4 4